Li4V3Fe2Sn3O16: simulated PXRD pattern (a wavelength of 1.5418 Å), based on DFT lattice parameters and positions (PBE+U).
No peak broadening, texture or thermal motion is included.

The 8 most intense peaks (2θ from 10° to 90°), low angle first:
2θ 18.3, intensity 100, (0 0 2); 2θ 19.0, intensity 82, (0 1 -1); 2θ 19.1, intensity 35, (1 1 -1); 2θ 24.8, intensity 29, (0 1 2); 2θ 34.5, intensity 30, (-1 1 2); 2θ 34.9, intensity 34, (0 2 1); 2θ 35.1, intensity 49, (2 2 1); 2θ 44.1, intensity 41, (2 0 3)

Structure:
```
28
Lattice="6.1110 0.0000 0.0000 3.0412 5.3273 0.0000 0.0560 0.0396 9.7048" Properties=species:S:1:pos:R:3 pbc="T T T"
Li 0.0000 0.0000 0.0000
Li 3.0790 5.3128 4.7739
Li 3.0780 1.6938 5.7881
Li 6.0945 3.3853 0.9865
V 1.6170 0.7737 2.6782
V 4.5723 0.8170 2.7279
V 6.1493 1.7330 7.5573
Fe 3.0426 1.6546 0.0197
Fe 6.1493 3.4112 4.8332
Sn 3.0560 3.4284 2.6927
Sn 4.6385 4.3521 7.5392
Sn 7.6456 4.3539 7.5423
O 3.0839 5.2605 6.5578
O 3.1084 5.2692 1.7776
O 1.6881 2.3999 1.4631
O 1.5350 0.8398 8.6520
O 3.0899 3.5391 8.7346
O 2.9922 1.6720 3.7950
O 4.5988 4.4089 3.8072
O 2.9656 0.1143 1.5487
O 4.4063 2.3941 1.4552
O 6.1407 5.0613 6.2664
O 4.8071 2.6610 6.3065
O 6.1442 3.4917 8.6878
O 4.6650 0.8319 8.6666
O 7.6528 4.4071 3.8071
O 6.1887 1.6438 3.7288
O 7.4784 2.6666 6.3131
```